# Li3TbCd4
Calculated powder XRD pattern, Cu Kα (λ = 1.5418 Å). Input: the GGA-PBE geometry in Alexandria.
Neutral-atom scattering factors, no anomalous dispersion.

Most intense lines, 5° ≤ 2θ ≤ 70°, by angle:
| d [Å] | Position (°2θ) | I (rel.) |
| --- | --- | --- |
| 8.217 | 10.8 | 14 |
| 4.152 | 21.4 | 19 |
| 3.986 | 22.3 | 29 |
| 3.478 | 25.6 | 50 |
| 3.203 | 27.9 | 26 |
| 2.702 | 33.2 | 28 |
| 2.487 | 36.1 | 90 |
| 2.432 | 37.0 | 100 |
| 1.739 | 52.6 | 30 |
| 1.415 | 66.0 | 29 |
| 1.404 | 66.6 | 17 |
| 1.362 | 69.0 | 16 |

Atomic structure:
```
data_Li3TbCd4
_cell_length_a 8.683
_cell_length_b 8.683
_cell_length_c 8.683
_cell_angle_alpha 32.53
_cell_angle_beta 32.53
_cell_angle_gamma 32.53
_space_group_name_H-M_alt 'P 1'
_space_group_IT_number 1
_space_group_name_Hall 'P 1'
loop_
_atom_site_label
_atom_site_fract_x
_atom_site_fract_y
_atom_site_fract_z
Li1 0.000 0.000 0.000
Li2 0.252 0.252 0.252
Li3 0.748 0.748 0.748
Tb1 0.500 0.500 0.500
Cd1 0.112 0.112 0.112
Cd2 0.371 0.371 0.371
Cd3 0.629 0.629 0.629
Cd4 0.888 0.888 0.888
```



# PaCo4B2
Calculated powder XRD pattern, Cu Kα (λ = 1.5418 Å). Input: the GGA-PBE geometry in Alexandria.
Neutral-atom scattering factors, no anomalous dispersion.

Most intense lines, 5° ≤ 2θ ≤ 70°, by angle:
| d [Å] | Position (°2θ) | I (rel.) |
| --- | --- | --- |
| 6.003 | 14.8 | 9 |
| 3.597 | 24.8 | 20 |
| 3.446 | 25.9 | 36 |
| 3.085 | 28.9 | 30 |
| 2.675 | 33.5 | 22 |
| 2.488 | 36.1 | 12 |
| 2.305 | 39.1 | 15 |
| 2.147 | 42.1 | 100 |
| 2.000 | 45.4 | 29 |
| 1.799 | 50.8 | 31 |
| 1.594 | 57.8 | 9 |
| 1.554 | 59.5 | 9 |

Atomic structure:
```
data_PaCo4B2
_cell_length_a 3.597
_cell_length_b 12.006
_cell_length_c 3.597
_cell_angle_alpha 90.00
_cell_angle_beta 90.00
_cell_angle_gamma 90.00
_space_group_name_H-M_alt 'P 1'
_space_group_IT_number 1
_space_group_name_Hall 'P 1'
loop_
_atom_site_label
_atom_site_fract_x
_atom_site_fract_y
_atom_site_fract_z
Pa1 0.000 0.000 0.000
Pa2 0.500 0.500 0.000
Co1 0.000 0.178 0.500
Co2 0.000 0.324 0.000
Co3 0.000 0.676 0.000
Co4 0.000 0.822 0.500
Co5 0.500 0.176 0.000
Co6 0.500 0.322 0.500
Co7 0.500 0.678 0.500
Co8 0.500 0.824 0.000
B1 0.000 0.411 0.500
B2 0.000 0.589 0.500
B3 0.500 0.089 0.500
B4 0.500 0.911 0.500
```



# LiPaTcPt
Calculated powder XRD pattern, Cu Kα (λ = 1.5418 Å). Input: the GGA-PBE geometry in Alexandria.
Neutral-atom scattering factors, no anomalous dispersion.

Most intense lines, 5° ≤ 2θ ≤ 70°, by angle:
| d [Å] | Position (°2θ) | I (rel.) |
| --- | --- | --- |
| 3.781 | 23.5 | 50 |
| 3.275 | 27.2 | 2 |
| 2.315 | 38.9 | 100 |
| 1.975 | 46.0 | 26 |
| 1.637 | 56.2 | 17 |
| 1.502 | 61.7 | 11 |
| 1.464 | 63.5 | 1 |

Atomic structure:
```
data_LiPaTcPt
_cell_length_a 6.549
_cell_length_b 6.549
_cell_length_c 6.549
_cell_angle_alpha 90.00
_cell_angle_beta 90.00
_cell_angle_gamma 90.00
_space_group_name_H-M_alt 'P 1'
_space_group_IT_number 1
_space_group_name_Hall 'P 1'
loop_
_atom_site_label
_atom_site_fract_x
_atom_site_fract_y
_atom_site_fract_z
Li1 0.000 0.000 0.000
Li2 0.000 0.500 0.500
Li3 0.500 0.000 0.500
Li4 0.500 0.500 0.000
Pa1 0.000 0.000 0.500
Pa2 0.000 0.500 0.000
Pa3 0.500 0.000 0.000
Pa4 0.500 0.500 0.500
Tc1 0.250 0.250 0.250
Tc2 0.250 0.750 0.750
Tc3 0.750 0.250 0.750
Tc4 0.750 0.750 0.250
Pt1 0.250 0.250 0.750
Pt2 0.250 0.750 0.250
Pt3 0.750 0.250 0.250
Pt4 0.750 0.750 0.750
```



# PaGe2I8
Calculated powder XRD pattern, Cu Kα (λ = 1.5418 Å). Input: the GGA-PBE geometry in Alexandria.
Neutral-atom scattering factors, no anomalous dispersion.

Most intense lines, 5° ≤ 2θ ≤ 70°, by angle:
| d [Å] | Position (°2θ) | I (rel.) |
| --- | --- | --- |
| 7.546 | 11.7 | 96 |
| 5.978 | 14.8 | 51 |
| 5.933 | 14.9 | 36 |
| 4.036 | 22.0 | 26 |
| 3.726 | 23.9 | 28 |
| 3.456 | 25.8 | 100 |
| 2.880 | 31.0 | 45 |
| 2.819 | 31.7 | 22 |
| 2.746 | 32.6 | 25 |
| 2.517 | 35.7 | 33 |
| 2.188 | 41.3 | 32 |
| 1.997 | 45.4 | 37 |

Atomic structure:
```
data_PaGe2I8
_cell_length_a 8.654
_cell_length_b 8.654
_cell_length_c 9.252
_cell_angle_alpha 92.98
_cell_angle_beta 92.98
_cell_angle_gamma 60.74
_space_group_name_H-M_alt 'P 1'
_space_group_IT_number 1
_space_group_name_Hall 'P 1'
loop_
_atom_site_label
_atom_site_fract_x
_atom_site_fract_y
_atom_site_fract_z
Pa1 0.000 0.000 0.000
Ge1 0.147 0.147 0.378
Ge2 0.853 0.853 0.622
I1 0.117 0.117 0.751
I2 0.117 0.641 0.839
I3 0.322 0.322 0.401
I4 0.359 0.883 0.161
I5 0.641 0.117 0.839
I6 0.678 0.678 0.599
I7 0.883 0.359 0.161
I8 0.883 0.883 0.249
```



# Dy2B6Ru
Calculated powder XRD pattern, Cu Kα (λ = 1.5418 Å). Input: the GGA-PBE geometry in Alexandria.
Neutral-atom scattering factors, no anomalous dispersion.

Most intense lines, 5° ≤ 2θ ≤ 70°, by angle:
| d [Å] | Position (°2θ) | I (rel.) |
| --- | --- | --- |
| 3.667 | 24.3 | 100 |
| 2.947 | 30.3 | 75 |
| 2.881 | 31.0 | 27 |
| 2.748 | 32.6 | 25 |
| 2.697 | 33.2 | 26 |
| 2.297 | 39.2 | 93 |
| 2.265 | 39.8 | 33 |
| 2.199 | 41.0 | 32 |
| 2.173 | 41.6 | 34 |
| 2.002 | 45.3 | 14 |
| 1.833 | 49.7 | 23 |
| 1.557 | 59.4 | 23 |

Atomic structure:
```
data_Dy2B6Ru
_cell_length_a 9.157
_cell_length_b 11.525
_cell_length_c 3.667
_cell_angle_alpha 90.00
_cell_angle_beta 90.00
_cell_angle_gamma 90.00
_space_group_name_H-M_alt 'P 1'
_space_group_IT_number 1
_space_group_name_Hall 'P 1'
loop_
_atom_site_label
_atom_site_fract_x
_atom_site_fract_y
_atom_site_fract_z
Dy1 0.056 0.127 0.000
Dy2 0.177 0.414 0.000
Dy3 0.323 0.914 0.000
Dy4 0.444 0.627 0.000
Dy5 0.556 0.373 0.000
Dy6 0.677 0.086 0.000
Dy7 0.823 0.586 0.000
Dy8 0.944 0.873 0.000
B1 0.016 0.287 0.500
B2 0.054 0.567 0.500
B3 0.111 0.969 0.500
B4 0.132 0.815 0.500
B5 0.210 0.233 0.500
B6 0.248 0.580 0.500
B7 0.252 0.080 0.500
B8 0.290 0.733 0.500
B9 0.368 0.315 0.500
B10 0.389 0.469 0.500
B11 0.446 0.067 0.500
B12 0.484 0.787 0.500
B13 0.516 0.213 0.500
B14 0.554 0.933 0.500
B15 0.611 0.531 0.500
B16 0.632 0.685 0.500
B17 0.710 0.267 0.500
B18 0.748 0.920 0.500
B19 0.752 0.420 0.500
B20 0.790 0.767 0.500
B21 0.868 0.185 0.500
B22 0.889 0.031 0.500
B23 0.946 0.433 0.500
B24 0.984 0.713 0.500
Ru1 0.138 0.679 0.000
Ru2 0.362 0.179 0.000
Ru3 0.638 0.821 0.000
Ru4 0.862 0.321 0.000
```



# Pr3Tl3GaSe8
Calculated powder XRD pattern, Cu Kα (λ = 1.5418 Å). Input: the GGA-PBE geometry in Alexandria.
Neutral-atom scattering factors, no anomalous dispersion.

Most intense lines, 5° ≤ 2θ ≤ 70°, by angle:
| d [Å] | Position (°2θ) | I (rel.) |
| --- | --- | --- |
| 7.030 | 12.6 | 10 |
| 6.202 | 14.3 | 12 |
| 3.803 | 23.4 | 6 |
| 3.515 | 25.3 | 11 |
| 3.101 | 28.8 | 100 |
| 2.258 | 39.9 | 35 |
| 2.133 | 42.4 | 35 |
| 1.861 | 49.0 | 6 |
| 1.758 | 52.0 | 18 |
| 1.551 | 59.6 | 10 |
| 1.419 | 65.8 | 10 |
| 1.356 | 69.3 | 15 |

Atomic structure:
```
data_Pr3Tl3GaSe8
_cell_length_a 8.532
_cell_length_b 8.532
_cell_length_c 9.057
_cell_angle_alpha 61.93
_cell_angle_beta 61.98
_cell_angle_gamma 60.01
_space_group_name_H-M_alt 'P 1'
_space_group_IT_number 1
_space_group_name_Hall 'P 1'
loop_
_atom_site_label
_atom_site_fract_x
_atom_site_fract_y
_atom_site_fract_z
Pr1 0.000 0.000 0.000
Pr2 0.000 0.500 0.000
Pr3 0.500 0.000 0.000
Tl1 0.000 0.500 0.500
Tl2 0.500 0.000 0.500
Tl3 0.500 0.500 0.500
Ga1 0.500 0.500 0.000
Se1 0.239 0.239 0.782
Se2 0.265 0.718 0.799
Se3 0.282 0.735 0.201
Se4 0.283 0.283 0.200
Se5 0.717 0.717 0.800
Se6 0.718 0.265 0.799
Se7 0.735 0.282 0.201
Se8 0.761 0.761 0.218
```



# PmCd11Hg
Calculated powder XRD pattern, Cu Kα (λ = 1.5418 Å). Input: the GGA-PBE geometry in Alexandria.
Neutral-atom scattering factors, no anomalous dispersion.

Most intense lines, 5° ≤ 2θ ≤ 70°, by angle:
| d [Å] | Position (°2θ) | I (rel.) |
| --- | --- | --- |
| 2.912 | 30.7 | 48 |
| 2.581 | 34.8 | 100 |
| 2.514 | 35.7 | 71 |
| 2.510 | 35.8 | 32 |
| 2.492 | 36.0 | 70 |
| 2.294 | 39.3 | 62 |
| 2.288 | 39.4 | 20 |
| 2.245 | 40.2 | 25 |
| 2.229 | 40.5 | 44 |
| 1.509 | 61.5 | 21 |
| 1.457 | 63.9 | 17 |
| 1.454 | 64.1 | 17 |

Atomic structure:
```
data_PmCd11Hg
_cell_length_a 7.667
_cell_length_b 7.667
_cell_length_c 7.658
_cell_angle_alpha 98.84
_cell_angle_beta 98.84
_cell_angle_gamma 133.65
_space_group_name_H-M_alt 'P 1'
_space_group_IT_number 1
_space_group_name_Hall 'P 1'
loop_
_atom_site_label
_atom_site_fract_x
_atom_site_fract_y
_atom_site_fract_z
Pm1 0.000 0.000 0.000
Cd1 0.000 0.000 0.500
Cd2 0.000 0.500 0.000
Cd3 0.003 0.650 0.649
Cd4 0.284 0.497 0.787
Cd5 0.350 0.997 0.351
Cd6 0.497 0.284 0.787
Cd7 0.500 0.000 0.000
Cd8 0.503 0.716 0.213
Cd9 0.650 0.003 0.649
Cd10 0.716 0.503 0.213
Cd11 0.997 0.350 0.351
Hg1 0.500 0.500 0.500
```



# TmGePt4
Calculated powder XRD pattern, Cu Kα (λ = 1.5418 Å). Input: the GGA-PBE geometry in Alexandria.
Neutral-atom scattering factors, no anomalous dispersion.

Most intense lines, 5° ≤ 2θ ≤ 70°, by angle:
| d [Å] | Position (°2θ) | I (rel.) |
| --- | --- | --- |
| 4.220 | 21.1 | 37 |
| 3.088 | 28.9 | 35 |
| 2.470 | 36.4 | 100 |
| 2.364 | 38.1 | 62 |
| 2.312 | 39.0 | 43 |
| 2.276 | 39.6 | 63 |
| 2.249 | 40.1 | 26 |
| 2.238 | 40.3 | 28 |
| 2.227 | 40.5 | 35 |
| 2.135 | 42.3 | 18 |
| 2.025 | 44.8 | 47 |
| 1.408 | 66.4 | 22 |

Atomic structure:
```
data_TmGePt4
_cell_length_a 4.981
_cell_length_b 6.910
_cell_length_c 7.029
_cell_angle_alpha 85.98
_cell_angle_beta 76.30
_cell_angle_gamma 69.03
_space_group_name_H-M_alt 'P 1'
_space_group_IT_number 1
_space_group_name_Hall 'P 1'
loop_
_atom_site_label
_atom_site_fract_x
_atom_site_fract_y
_atom_site_fract_z
Tm1 0.083 0.038 0.254
Tm2 0.917 0.962 0.746
Ge1 0.000 0.500 0.000
Ge2 0.500 0.500 0.500
Pt1 0.103 0.586 0.321
Pt2 0.298 0.132 0.867
Pt3 0.357 0.707 0.953
Pt4 0.452 0.184 0.435
Pt5 0.548 0.816 0.565
Pt6 0.643 0.293 0.047
Pt7 0.702 0.868 0.133
Pt8 0.897 0.414 0.679
```



- Which formula does entry 4 have?
  PaGe2I8



- Number 1 is which compound?
  Li3TbCd4